Entry 1:
This entry pairs a crystal structure of Ca4Cd with its calculated PXRD pattern. Radiation: Cu Kα X-rays. Structure: a DFT-relaxed cell (PBE, Alexandria).
Lines closer than 0.1° are merged.

Cell and atoms:
```
10
Lattice="9.5953 0.0000 0.0000 0.0000 9.5953 0.0000 0.0000 0.0000 3.9783" Properties=species:S:1:pos:R:3 pbc="T T T"
Ca 0.7147 2.5714 0.0000
Ca 2.2263 5.5124 1.9891
Ca 2.5714 8.8805 0.0000
Ca 4.0829 2.2263 1.9891
Ca 5.5124 7.3690 1.9891
Ca 7.0239 0.7147 0.0000
Ca 7.3690 4.0829 1.9891
Ca 8.8805 7.0239 0.0000
Cd 0.0000 0.0000 1.9891
Cd 4.7976 4.7976 0.0000
```

The 10 most intense peaks (10 to 80 degrees two-theta), sorted by position:
2θ = 13.0°, intensity 40, hkl 1 1 0; 2θ = 18.5°, intensity 13, hkl 2 0 0; 2θ = 29.4°, intensity 43, hkl 1 3 0; 2θ = 30.6°, intensity 100, hkl 2 1 1; 2θ = 37.5°, intensity 9, hkl 4 0 0; 2θ = 40.8°, intensity 15, hkl 3 2 1; 2θ = 42.1°, intensity 17, hkl 4 2 0; 2θ = 53.0°, intensity 22, hkl 3 4 1; 2θ = 55.2°, intensity 13, hkl 1 3 2; 2θ = 74.9°, intensity 10, hkl 2 1 3

Entry 2:
This entry pairs a crystal structure of KGa2Ge with its calculated PXRD pattern. Radiation: Cu Kα X-rays. Structure: a DFT-relaxed cell (PBE, Alexandria).
Lines closer than 0.1° are merged.

Cell and atoms:
```
8
Lattice="4.4966 0.0000 0.0000 0.0000 4.4966 0.0000 0.0000 0.0000 10.0777" Properties=species:S:1:pos:R:3 pbc="T T T"
K 1.1241 1.1241 2.4316
K 3.3724 3.3724 7.6461
Ga 1.1241 1.1241 9.3658
Ga 1.1241 3.3724 5.0389
Ga 3.3724 1.1241 5.0389
Ga 3.3724 3.3724 0.7119
Ge 1.1241 1.1241 6.5316
Ge 3.3724 3.3724 3.5461
```

The 10 most intense peaks (10 to 80 degrees two-theta), sorted by position:
2θ = 21.6°, intensity 28, hkl 1 0 1; 2θ = 28.1°, intensity 40, hkl 1 1 0; 2θ = 29.5°, intensity 49, hkl 1 1 1; 2θ = 33.3°, intensity 100, hkl 1 0 3; 2θ = 39.0°, intensity 58, hkl 1 1 3; 2θ = 40.1°, intensity 76, hkl 2 0 0; 2θ = 41.1°, intensity 36, hkl 1 0 4; 2θ = 46.0°, intensity 28, hkl 1 1 4; 2θ = 53.1°, intensity 35, hkl 2 1 3; 2θ = 58.0°, intensity 25, hkl 2 2 0

Entry 3:
This entry pairs a crystal structure of Tb2SmSi with its calculated PXRD pattern. Radiation: Cu Kα X-rays. Structure: a DFT-relaxed cell (PBE, Alexandria).
Lines closer than 0.1° are merged.

Cell and atoms:
```
12
Lattice="3.7690 0.0000 0.0000 -1.8845 3.2641 0.0000 0.0000 0.0000 29.1341" Properties=species:S:1:pos:R:3 pbc="T T T"
Tb 0.0000 0.0000 0.0000
Tb 0.0000 0.0000 6.0168
Tb 0.0000 2.1761 19.4227
Tb 0.0000 2.1761 25.4395
Tb 1.8845 1.0880 9.7114
Tb 1.8845 1.0880 15.7281
Sm 0.0000 0.0000 22.3967
Sm 0.0000 2.1761 12.6853
Sm 1.8845 1.0880 2.9740
Si 0.0000 0.0000 17.5828
Si 0.0000 2.1761 7.8714
Si 1.8845 1.0880 27.2942
```

The 10 most intense peaks (10 to 80 degrees two-theta), sorted by position:
2θ = 27.5°, intensity 69, hkl 0 0 9; 2θ = 30.0°, intensity 71, hkl 1 0 4; 2θ = 31.4°, intensity 100, hkl 0 1 5; 2θ = 34.9°, intensity 17, hkl 1 0 7; 2θ = 41.5°, intensity 20, hkl 1 0 10; 2θ = 48.3°, intensity 39, hkl 1 1 0; 2θ = 52.1°, intensity 17, hkl 0 1 14; 2θ = 56.5°, intensity 37, hkl 1 1 9; 2θ = 57.9°, intensity 18, hkl 0 2 4; 2θ = 58.8°, intensity 17, hkl 2 0 5

Entry 4:
This entry pairs a crystal structure of AcH6Rh3 with its calculated PXRD pattern. Radiation: Cu Kα X-rays. Structure: a DFT-relaxed cell (PBE, Alexandria).
Lines closer than 0.1° are merged.

Cell and atoms:
```
10
Lattice="4.7810 0.0000 0.0000 1.7140 4.5468 0.0000 2.3577 -0.7442 4.8814" Properties=species:S:1:pos:R:3 pbc="T T T"
Ac 0.0000 0.0000 0.0000
H 3.3321 1.7539 3.2909
H 2.7424 0.0250 1.8396
H 5.3014 1.0475 4.0211
H 4.1365 3.2441 0.0420
H 5.6151 2.2119 1.4933
H 7.2564 3.5698 2.4321
Rh 4.0765 2.8869 1.7754
Rh 4.1925 0.3140 2.8799
Rh 6.4018 2.1315 3.1951
```

The 10 most intense peaks (10 to 80 degrees two-theta), sorted by position:
2θ = 21.5°, intensity 58, hkl 1 0 1; 2θ = 25.1°, intensity 48, hkl 1 1 1; 2θ = 29.0°, intensity 67, hkl 0 1 1; 2θ = 33.1°, intensity 100, hkl 1 -1 1; 2θ = 33.3°, intensity 46, hkl 1 0 2; 2θ = 34.9°, intensity 83, hkl 1 0 -1; 2θ = 37.4°, intensity 51, hkl 1 1 2; 2θ = 37.8°, intensity 66, hkl 1 2 0; 2θ = 38.1°, intensity 63, hkl 2 1 1; 2θ = 39.3°, intensity 47, hkl 0 1 -2

Please write out number 4 again, unchanged.
This entry pairs a crystal structure of AcH6Rh3 with its calculated PXRD pattern. Radiation: Cu Kα X-rays. Structure: a DFT-relaxed cell (PBE, Alexandria).
Lines closer than 0.1° are merged.

Cell and atoms:
```
10
Lattice="4.7810 0.0000 0.0000 1.7140 4.5468 0.0000 2.3577 -0.7442 4.8814" Properties=species:S:1:pos:R:3 pbc="T T T"
Ac 0.0000 0.0000 0.0000
H 3.3321 1.7539 3.2909
H 2.7424 0.0250 1.8396
H 5.3014 1.0475 4.0211
H 4.1365 3.2441 0.0420
H 5.6151 2.2119 1.4933
H 7.2564 3.5698 2.4321
Rh 4.0765 2.8869 1.7754
Rh 4.1925 0.3140 2.8799
Rh 6.4018 2.1315 3.1951
```

The 10 most intense peaks (10 to 80 degrees two-theta), sorted by position:
2θ = 21.5°, intensity 58, hkl 1 0 1; 2θ = 25.1°, intensity 48, hkl 1 1 1; 2θ = 29.0°, intensity 67, hkl 0 1 1; 2θ = 33.1°, intensity 100, hkl 1 -1 1; 2θ = 33.3°, intensity 46, hkl 1 0 2; 2θ = 34.9°, intensity 83, hkl 1 0 -1; 2θ = 37.4°, intensity 51, hkl 1 1 2; 2θ = 37.8°, intensity 66, hkl 1 2 0; 2θ = 38.1°, intensity 63, hkl 2 1 1; 2θ = 39.3°, intensity 47, hkl 0 1 -2

> What is the formula in the first record?

Ca4Cd